[1]
Computed XRD peak list
Compound: Si4Ir3
Radiation: Cu Kα
Structure: a structure optimized by DFT (PBE)
Peak positions follow from Bragg's law for the DFT cell and can differ from measured ones.

a = 19.031 Å, b = 3.737 Å, c = 5.837 Å
α = 90.00°, β = 90.00°, γ = 90.00°
Space group Pnma (No. 62)
One atom of each set of equivalent atoms:
Si1 0.050 0.250 0.027
Si2 0.091 0.250 0.575
Si3 0.144 0.750 0.111
Si4 0.230 0.250 0.285
Ir1 0.031 0.750 0.304
Ir2 0.174 0.250 0.892
Ir3 0.176 0.750 0.500

Most intense lines, 2θ from 10° to 90°, by angle:
2theta	Rel. int.	hkl
24.13	42	4 0 1
28.13	51	6 0 0
28.36	56	0 1 1
28.75	100	1 1 1
32.09	33	2 0 2
41.77	45	3 1 2
43.71	36	4 1 2
44.01	77	7 1 1
48.73	34	0 2 0
48.96	29	3 0 3

[2]
Computed XRD peak list
Compound: SmSi2Ir2
Radiation: Cu Kα
Structure: a structure optimized by DFT (PBE)
Peak positions follow from Bragg's law for the DFT cell and can differ from measured ones.

a = 4.106 Å, b = 4.106 Å, c = 10.107 Å
α = 90.00°, β = 90.00°, γ = 90.00°
Space group I4/mmm (No. 139)
One atom of each set of equivalent atoms:
Sm1 0.000 0.000 0.000
Si1 0.000 0.000 0.377
Ir1 0.000 0.500 0.250

Most intense lines, 2θ from 10° to 90°, by angle:
2theta	Rel. int.	hkl
17.55	26	0 0 2
23.38	12	1 0 1
34.43	14	1 0 3
35.53	20	0 0 4
35.66	100	1 1 2
44.11	34	2 0 0
47.71	13	1 1 4
57.87	20	2 0 4
63.89	18	1 1 6
75.59	32	3 1 2

[3]
Computed XRD peak list
Compound: SmSi2Ir2
Radiation: Cu Kα
Structure: a structure optimized by DFT (PBE)
Peak positions follow from Bragg's law for the DFT cell and can differ from measured ones.

a = 4.231 Å, b = 4.231 Å, c = 9.924 Å
α = 90.00°, β = 90.00°, γ = 90.00°
Space group I4/mmm (No. 139)
One atom of each set of equivalent atoms:
Sm1 0.000 0.000 0.000
Si1 0.000 0.500 0.250
Ir1 0.000 0.000 0.368

Most intense lines, 2θ from 10° to 90°, by angle:
2theta	Rel. int.	hkl
22.85	15	1 0 1
29.86	79	1 1 0
34.41	100	1 0 3
42.74	47	2 0 0
47.61	16	1 1 4
50.81	21	1 0 5
55.98	50	2 1 3
62.04	16	2 2 0
68.51	17	2 1 5
88.38	15	3 2 3

[4]
Computed XRD peak list
Compound: SmSi2Ir2
Radiation: Cu Kα
Structure: a structure optimized by DFT (PBE)
Peak positions follow from Bragg's law for the DFT cell and can differ from measured ones.

a = 4.170 Å, b = 4.170 Å, c = 9.895 Å
α = 90.00°, β = 90.00°, γ = 90.00°
Space group P4/nmm (No. 129, origin choice 2)
One atom of each set of equivalent atoms:
Sm1 0.250 0.250 0.244
Si1 0.250 0.250 0.630
Si2 0.250 0.750 0.000
Ir1 0.250 0.250 0.873
Ir2 0.250 0.750 0.500

Most intense lines, 2θ from 10° to 90°, by angle:
2theta	Rel. int.	hkl
27.03	30	0 0 3
27.98	29	1 0 2
31.66	74	1 1 1
34.67	66	1 0 3
35.44	100	1 1 2
43.39	70	2 0 0
48.00	25	1 1 4
51.09	25	1 0 5
56.70	32	2 1 3
74.45	29	3 1 2

[5]
Computed XRD peak list
Compound: Sm2Si3Ir3
Radiation: Cu Kα
Structure: a structure optimized by DFT (PBE)
Peak positions follow from Bragg's law for the DFT cell and can differ from measured ones.

a = 2.806 Å, b = 2.806 Å, c = 20.508 Å
α = 90.00°, β = 90.00°, γ = 90.00°
Space group P4/mmm (No. 123)
One atom of each set of equivalent atoms:
Sm1 0.000 0.000 0.241
Si1 0.000 0.000 0.000
Si2 0.000 0.000 0.388
Ir1 0.000 0.000 0.110
Ir2 0.000 0.000 0.500

Most intense lines, 2θ from 10° to 90°, by angle:
2theta	Rel. int.	hkl
12.95	57	0 0 3
21.67	21	0 0 5
31.89	100	1 0 0
34.55	23	1 0 3
35.00	28	0 0 8
38.88	20	1 0 5
45.72	37	1 1 0
48.07	46	1 0 8
58.85	25	1 1 8
86.30	18	2 1 8

[6]
Computed XRD peak list
Compound: TaSiIr
Radiation: Cu Kα
Structure: a structure optimized by DFT (PBE)
Peak positions follow from Bragg's law for the DFT cell and can differ from measured ones.

a = 6.431 Å, b = 3.814 Å, c = 7.328 Å
α = 90.00°, β = 90.00°, γ = 90.00°
Space group Pnma (No. 62)
One atom of each set of equivalent atoms:
Ta1 0.024 0.250 0.172
Si1 0.233 0.750 0.376
Ir1 0.145 0.250 0.565

Most intense lines, 2θ from 10° to 90°, by angle:
2theta	Rel. int.	hkl
28.03	19	1 0 2
29.84	34	1 1 1
36.55	49	2 1 0
36.77	100	1 1 2
38.63	57	2 1 1
39.46	34	1 0 3
44.02	59	3 0 1
47.69	35	0 2 0
66.89	19	3 2 1
72.21	27	3 1 4